# 1
# V4O7
Theoretical powder diffraction line list, Cu Kα. Input: DFT lattice parameters and positions (GGA+U).

Peak list (10 most intense, 5 to 70 degrees two-theta, in order of falling intensity)
| h k l | d [Å] | I/Imax |
| --- | --- | --- |
| -1 1 2 | 2.718 | 100.0 |
| 2 1 0 | 2.817 | 65.2 |
| 0 2 0 | 2.873 | 59.5 |
| 1 1 2 | 2.887 | 38.6 |
| 2 0 2 | 2.150 | 31.0 |
| 2 -1 0 | 2.564 | 30.5 |
| -1 3 2 | 1.792 | 27.6 |
| 3 1 2 | 1.761 | 27.4 |
| 4 0 0 | 1.516 | 19.5 |
| 2 0 -2 | 2.131 | 19.4 |

Cell and atoms:
```
V4O7
1.0
6.113 0.000 0.000
0.767 6.118 0.000
0.331 2.207 6.042
V O
8 14
direct
0.086 0.245 0.485 V
0.142 0.319 0.914 V
0.366 0.801 0.706 V
0.380 0.807 0.227 V
0.620 0.193 0.773 V
0.634 0.199 0.294 V
0.858 0.681 0.086 V
0.914 0.755 0.515 V
0.053 0.672 0.842 O
0.113 0.593 0.314 O
0.172 0.062 0.836 O
0.183 0.921 0.444 O
0.398 0.482 0.760 O
0.420 0.197 0.523 O
0.425 0.153 0.100 O
0.575 0.847 0.900 O
0.580 0.803 0.477 O
0.602 0.518 0.240 O
0.817 0.079 0.556 O
0.828 0.938 0.164 O
0.887 0.407 0.686 O
0.947 0.328 0.158 O
```

# 2
# V2O5
Theoretical powder diffraction line list, Cu Kα. Input: DFT lattice parameters and positions (GGA+U).

Peak list (10 most intense, 5 to 70 degrees two-theta, in order of falling intensity)
| h k l | d [Å] | I/Imax |
| --- | --- | --- |
| 2 1 1 | 3.509 | 100.0 |
| 2 0 1 | 4.358 | 71.9 |
| 1 1 2 | 3.274 | 69.8 |
| 0 0 2 | 4.266 | 51.6 |
| 1 1 1 | 4.384 | 42.4 |
| 0 2 0 | 2.959 | 39.8 |
| 1 0 1 | 6.528 | 39.0 |
| 2 1 0 | 3.850 | 26.8 |
| 2 0 0 | 5.069 | 20.2 |
| 4 1 1 | 2.248 | 19.1 |

Cell and atoms:
```
V2O5
1.0
10.139 0.000 0.000
0.000 5.917 0.000
0.000 0.000 8.532
V O
8 20
direct
0.099 0.250 0.158 V
0.228 0.750 0.298 V
0.272 0.250 0.798 V
0.401 0.750 0.658 V
0.599 0.250 0.342 V
0.728 0.750 0.202 V
0.772 0.250 0.702 V
0.901 0.750 0.842 V
0.054 0.750 0.901 O
0.129 0.501 0.271 O
0.129 0.999 0.271 O
0.154 0.250 0.671 O
0.208 0.250 0.995 O
0.292 0.750 0.495 O
0.346 0.750 0.171 O
0.371 0.001 0.771 O
0.371 0.499 0.771 O
0.446 0.250 0.401 O
0.554 0.750 0.599 O
0.629 0.501 0.229 O
0.629 0.999 0.229 O
0.654 0.250 0.829 O
0.708 0.250 0.505 O
0.792 0.750 0.005 O
0.846 0.750 0.329 O
0.871 0.001 0.729 O
0.871 0.499 0.729 O
0.946 0.250 0.099 O
```

# 3
# VO2
Theoretical powder diffraction line list, Cu Kα. Input: DFT lattice parameters and positions (GGA+U).

Peak list (10 most intense, 5 to 70 degrees two-theta, in order of falling intensity)
| h k l | d [Å] | I/Imax |
| --- | --- | --- |
| 0 0 1 | 8.691 | 100.0 |
| 0 1 0 | 6.753 | 94.9 |
| 1 0 1 | 4.058 | 23.5 |
| 0 1 1 | 5.333 | 14.3 |
| 1 0 2 | 3.081 | 10.3 |
| 1 1 1 | 3.478 | 8.6 |
| 1 1 -2 | 3.047 | 7.8 |
| 1 2 0 | 2.770 | 6.2 |
| 0 2 2 | 2.666 | 5.7 |
| 2 0 -1 | 2.400 | 5.1 |

Cell and atoms:
```
VO2
1.0
4.871 0.000 0.000
0.000 6.753 0.000
-0.901 0.000 8.691
V O
4 8
direct
0.000 0.164 0.000 V
0.000 0.836 0.000 V
0.367 0.000 0.800 V
0.633 0.000 0.200 V
0.245 0.242 0.868 O
0.245 0.758 0.868 O
0.251 0.000 0.135 O
0.303 0.000 0.615 O
0.697 0.000 0.385 O
0.749 0.000 0.865 O
0.755 0.242 0.132 O
0.755 0.758 0.132 O
```